Structure and computed XRD peak list of CdCuN (DFT lattice parameters and positions (GGA-PBE); Cu Ka).

Peak list (12 most intense, 2θ from 10° to 90°, in order of falling intensity)
index, two_theta, I (rel.)
1 0 1, 35.7, 100.0
1 0 0, 25.9, 54.4
1 1 0, 45.6, 41.4
2 0 1, 59.2, 22.0
1 1 2, 69.5, 21.4
2 1 1, 77.9, 19.3
1 0 2, 56.6, 11.4
0 0 2, 49.4, 10.7
1 0 3, 83.5, 8.1
0 0 1, 24.1, 7.4
2 0 0, 53.2, 7.0
3 0 0, 84.4, 6.2

Cell and atoms:
Unit cell a=3.975 b=3.975 c=3.687 alpha=90.00 beta=90.00 gamma=120.00
Fractional positions:
Cd 0.000 0.000 0.000
Cu 0.667 0.333 0.500
N 0.667 0.333 0.000